The following is a computed PXRD pattern of CeMnF6. It was derived from a cell relaxed with PBE+U, using Cu Kα X-rays.

Main lines, by intensity (2θ = 10–90°):
(2 0 0), d 4.289, intensity 100; (3 1 1), d 1.918, intensity 41; (1 1 1), d 3.033, intensity 35; (4 0 0), d 2.145, intensity 26; (1 1 0), d 4.953, intensity 20; (4 2 0), d 1.751, intensity 13

Crystal structure
```
data_CeMnF6
_chemical_formula_sum 'Ce2 Mn2 F12'
_symmetry_space_group_name_H-M 'C 1 2/m 1'
_symmetry_Int_Tables_number 12
_cell_length_a 10.4951
_cell_length_b 6.0747
_cell_length_c 6.0620
_cell_angle_alpha 90.00
_cell_angle_beta 125.24
_cell_angle_gamma 90.00
loop_
_symmetry_equiv_pos_as_xyz
'x,y,z'
'-x,-y,-z'
'-x,y,-z'
'x,-y,z'
'x+1/2,y+1/2,z'
'-x+1/2,-y+1/2,-z'
'-x+1/2,y+1/2,-z'
'x+1/2,-y+1/2,z'
loop_
_atom_site_label
_atom_site_fract_x
_atom_site_fract_y
_atom_site_fract_z
Ce1 0.0000 0.0000 0.0000
Mn1 0.0000 0.5000 0.5000
F1 0.9996 0.2544 0.2539
F2 0.2450 0.5000 0.7441
```